Entry 1:
The following is a simulated XRD peak list of Ho2TmSc2. It was derived from a structure optimized by DFT (GGA-PBE), using CuKα.
Lines closer than 0.1° are merged.

```
data_Ho2TmSc2
_cell_length_a 9.004
_cell_length_b 9.004
_cell_length_c 3.504
_cell_angle_alpha 90.00
_cell_angle_beta 90.00
_cell_angle_gamma 90.00
_space_group_name_H-M_alt 'P 4/m b m'
_space_group_IT_number 127
_space_group_name_Hall '-P 4 2ab'
loop_
_atom_site_label
_atom_site_fract_x
_atom_site_fract_y
_atom_site_fract_z
Ho1 0.175 0.325 0.000
Tm1 0.000 0.000 0.500
Sc1 0.121 0.621 0.500
```

Peak list (6 most intense, 2θ from 10° to 80°, by angle)
2theta  d [Å]  I (rel.)  h k l
22.07  4.027  48.7  2 1 0
28.03  3.183  37.2  2 2 0
31.42  2.847  88.4  3 1 0
32.38  2.765  85.9  2 0 1
33.91  2.643  100.0  2 1 1
50.26  1.815  38.1  3 3 1



Entry 2:
The following is a simulated XRD peak list of Ho8TmSc5. It was derived from a structure optimized by DFT (GGA-PBE), using CuKα.
Lines closer than 0.1° are merged.

```
data_Ho8TmSc5
_cell_length_a 9.231
_cell_length_b 9.231
_cell_length_c 9.760
_cell_angle_alpha 90.00
_cell_angle_beta 90.00
_cell_angle_gamma 90.00
_space_group_name_H-M_alt 'I -4'
_space_group_IT_number 82
_space_group_name_Hall 'I -4'
loop_
_atom_site_label
_atom_site_fract_x
_atom_site_fract_y
_atom_site_fract_z
Ho1 0.070 0.174 0.157
Ho2 0.093 0.330 0.499
Tm1 0.000 0.000 0.500
Sc1 0.000 0.500 0.250
Sc2 0.109 0.296 0.822
```

Peak list (6 most intense, 2θ from 10° to 80°, by angle)
2theta  d [Å]  I (rel.)  h k l
23.40  3.802  95.0  1 2 1
29.10  3.068  100.0  1 0 3
30.63  2.919  83.7  1 3 0
35.12  2.555  94.8  2 1 3
35.84  2.505  98.2  1 3 2
36.27  2.477  90.4  3 2 1